Record 1
Structure and calculated powder diffractogram of PrMgTl2 (a structure optimized by DFT (PBE); Cu Kα X-rays).

Cell and atoms:
Lattice parameters (Å, degrees): 7.624 7.624 7.624 90.00 90.00 90.00
Space group Fm-3m (No. 225)
One atom of each set of equivalent atoms:
Pr1 0.000 0.000 0.000
Mg1 0.000 0.000 0.500
Tl1 0.250 0.250 0.250

Principal peaks in the range 2θ from 10° to 90°, low angle first:
2θ = 20.17°, 4.402 Å, I 9.7, hkl 1 1 1
2θ = 23.34°, 3.812 Å, I 19.8, hkl 2 0 0
2θ = 33.24°, 2.695 Å, I 100.0, hkl 2 2 0
2θ = 39.19°, 2.299 Å, I 5.4, hkl 3 1 1
2θ = 41.01°, 2.201 Å, I 6.3, hkl 2 2 2
2θ = 47.72°, 1.906 Å, I 18.4, hkl 4 0 0
2θ = 53.77°, 1.705 Å, I 8.9, hkl 4 2 0
2θ = 59.39°, 1.556 Å, I 38.5, hkl 4 2 2
2θ = 69.78°, 1.348 Å, I 11.9, hkl 4 4 0
2θ = 79.51°, 1.205 Å, I 16.7, hkl 6 2 0



Record 2
Structure and calculated powder diffractogram of PrTmMg2 (a structure optimized by DFT (PBE); Cu Kα X-rays).

Cell and atoms:
Lattice parameters (Å, degrees): 7.661 7.661 7.661 90.00 90.00 90.00
Space group Fm-3m (No. 225)
One atom of each set of equivalent atoms:
Pr1 0.000 0.000 0.000
Tm1 0.000 0.000 0.500
Mg1 0.250 0.250 0.250

Principal peaks in the range 2θ from 10° to 90°, low angle first:
2θ = 23.22°, 3.830 Å, I 61.9, hkl 2 0 0
2θ = 33.07°, 2.709 Å, I 100.0, hkl 2 2 0
2θ = 40.80°, 2.211 Å, I 19.2, hkl 2 2 2
2θ = 47.47°, 1.915 Å, I 18.2, hkl 4 0 0
2θ = 53.49°, 1.713 Å, I 26.5, hkl 4 2 0
2θ = 59.07°, 1.564 Å, I 37.7, hkl 4 2 2
2θ = 69.40°, 1.354 Å, I 11.6, hkl 4 4 0
2θ = 74.28°, 1.277 Å, I 12.6, hkl 6 0 0
2θ = 79.06°, 1.211 Å, I 16.1, hkl 6 2 0
2θ = 83.75°, 1.155 Å, I 7.6, hkl 6 2 2



Record 3
Structure and calculated powder diffractogram of PrYMg6 (a structure optimized by DFT (PBE); Cu Kα X-rays).

Cell and atoms:
Lattice parameters (Å, degrees): 5.2091 5.2091 25.6549 90.00 90.00 120.00
Space group R-3m (No. 166, hexagonal axes)
One atom of each set of equivalent atoms:
Pr1 0.0000 0.0000 0.0000
Y1 0.0000 0.0000 0.5000
Mg1 0.0000 0.0000 0.1256
Mg2 0.0000 0.0000 0.2494
Mg3 0.0000 0.0000 0.3761

Principal peaks in the range 2θ from 10° to 90°, low angle first:
2θ = 20.85°, 4.261 Å, I 100.0, hkl 0 1 2
2θ = 24.12°, 3.690 Å, I 52.8, hkl 1 0 4
2θ = 34.31°, 2.614 Å, I 97.4, hkl 0 1 8
2θ = 34.43°, 2.605 Å, I 96.5, hkl 1 1 0
2θ = 40.57°, 2.223 Å, I 39.8, hkl 2 0 2
2θ = 49.40°, 1.845 Å, I 34.0, hkl 2 0 8
2θ = 61.36°, 1.511 Å, I 17.3, hkl 1 0 16
2θ = 61.63°, 1.505 Å, I 51.4, hkl 3 0 0
2θ = 82.60°, 1.168 Å, I 14.4, hkl 2 1 16
2θ = 82.81°, 1.166 Å, I 14.3, hkl 3 1 8



Record 4
Structure and calculated powder diffractogram of PrYMg4 (a structure optimized by DFT (PBE); Cu Kα X-rays).

Cell and atoms:
Lattice parameters (Å, degrees): 8.639 8.639 8.639 90.00 90.00 90.00
Space group F-43m (No. 216)
One atom of each set of equivalent atoms:
Pr1 0.000 0.000 0.000
Y1 0.250 0.250 0.750
Mg1 0.125 0.125 0.375

Principal peaks in the range 2θ from 10° to 90°, low angle first:
2θ = 17.78°, 4.988 Å, I 49.3, hkl 1 1 1
2θ = 29.24°, 3.054 Å, I 87.2, hkl 2 2 0
2θ = 34.43°, 2.605 Å, I 100.0, hkl 3 1 1
2θ = 45.78°, 1.982 Å, I 13.2, hkl 3 3 1
2θ = 51.84°, 1.764 Å, I 34.7, hkl 4 2 2
2θ = 55.25°, 1.663 Å, I 33.6, hkl 5 1 1
2θ = 60.63°, 1.527 Å, I 22.1, hkl 4 4 0
2θ = 68.72°, 1.366 Å, I 14.7, hkl 6 2 0
2θ = 83.79°, 1.154 Å, I 17.1, hkl 6 4 2
2θ = 86.54°, 1.125 Å, I 20.6, hkl 7 3 1



Record 5
Structure and calculated powder diffractogram of MgPt5 (a structure optimized by DFT (PBE); Cu Kα X-rays).

Cell and atoms:
Lattice parameters (Å, degrees): 4.8920 4.8920 4.5625 90.00 90.00 120.00
Space group P-62m (No. 189)
One atom of each set of equivalent atoms:
Mg1 0.0000 0.0000 0.0000
Pt1 0.0000 0.6600 0.5000
Pt2 0.3333 0.6667 0.0000

Principal peaks in the range 2θ from 10° to 90°, low angle first:
2θ = 20.97°, 4.237 Å, I 12.8, hkl 1 0 0
2θ = 28.76°, 3.105 Å, I 8.6, hkl 1 0 1
2θ = 36.74°, 2.446 Å, I 25.7, hkl 1 1 0
2θ = 39.50°, 2.281 Å, I 26.0, hkl 0 0 2
2θ = 41.91°, 2.156 Å, I 100.0, hkl 1 1 1
2θ = 55.05°, 1.668 Å, I 16.3, hkl 1 1 2
2θ = 66.17°, 1.412 Å, I 17.3, hkl 3 0 0
2θ = 73.30°, 1.292 Å, I 19.6, hkl 1 1 3
2θ = 79.89°, 1.201 Å, I 20.6, hkl 3 0 2
2θ = 81.48°, 1.181 Å, I 14.8, hkl 2 2 1



Record 6
Structure and calculated powder diffractogram of MgPt5 (a structure optimized by DFT (PBE); Cu Kα X-rays).

Cell and atoms:
Lattice parameters (Å, degrees): 10.459 2.793 6.727 90.00 106.36 90.00
Space group Cm (No. 8)
One atom of each set of equivalent atoms:
Mg1 0.000 0.000 0.000
Pt1 0.110 0.500 0.722
Pt2 0.164 0.500 0.324
Pt3 0.277 0.000 0.051
Pt4 0.338 0.000 0.677
Pt5 0.445 0.500 0.389

Principal peaks in the range 2θ from 10° to 90°, low angle first:
2θ = 13.72°, 6.455 Å, I 8.6, hkl 0 0 1
2θ = 37.15°, 2.420 Å, I 30.6, hkl 1 1 1
2θ = 38.76°, 2.323 Å, I 33.5, hkl 4 0 -2
2θ = 41.99°, 2.152 Å, I 22.0, hkl 0 0 3
2θ = 42.11°, 2.146 Å, I 100.0, hkl 4 0 1
2θ = 54.68°, 1.679 Å, I 10.2, hkl 3 1 -3
2θ = 54.86°, 1.673 Å, I 10.1, hkl 5 1 -1
2θ = 66.96°, 1.397 Å, I 20.2, hkl 0 2 0
2θ = 72.57°, 1.303 Å, I 12.3, hkl 8 0 -1
2θ = 82.33°, 1.171 Å, I 9.0, hkl 0 2 3



Record 7
Structure and calculated powder diffractogram of Mg3Pt (a structure optimized by DFT (PBE); Cu Kα X-rays).

Cell and atoms:
Lattice parameters (Å, degrees): 7.9488 7.9488 8.4300 90.00 90.00 120.00
Space group P6_3cm (No. 185)
One atom of each set of equivalent atoms:
Mg1 0.0000 0.0000 0.0000
Mg2 0.0000 0.2827 0.2609
Mg3 0.0000 0.3747 0.6046
Mg4 0.3333 0.6667 0.3885
Pt1 0.0000 0.3276 0.9324

Principal peaks in the range 2θ from 10° to 90°, low angle first:
2θ = 21.08°, 4.215 Å, I 36.0, hkl 0 0 2
2θ = 22.37°, 3.974 Å, I 24.4, hkl 1 1 0
2θ = 24.77°, 3.595 Å, I 93.2, hkl 1 1 1
2θ = 39.26°, 2.295 Å, I 100.0, hkl 3 0 0
2θ = 44.98°, 2.015 Å, I 33.1, hkl 3 0 2
2θ = 46.98°, 1.934 Å, I 18.3, hkl 2 2 1
2θ = 56.74°, 1.622 Å, I 17.4, hkl 2 2 3
2θ = 59.56°, 1.552 Å, I 21.5, hkl 3 0 4
2θ = 62.84°, 1.479 Å, I 17.0, hkl 4 1 1
2θ = 71.17°, 1.325 Å, I 26.4, hkl 3 3 0



Record 8
Structure and calculated powder diffractogram of MgPt5 (a structure optimized by DFT (PBE); Cu Kα X-rays).

Cell and atoms:
Lattice parameters (Å, degrees): 4.670 2.810 14.412 90.00 90.00 90.00
Space group Amm2 (No. 38)
One atom of each set of equivalent atoms:
Mg1 0.000 0.000 0.000
Pt1 0.000 0.000 0.336
Pt2 0.000 0.000 0.660
Pt3 0.500 0.000 0.125
Pt4 0.500 0.000 0.458
Pt5 0.500 0.000 0.793

Principal peaks in the range 2θ from 10° to 90°, low angle first:
2θ = 12.28°, 7.206 Å, I 12.0, hkl 0 0 2
2θ = 37.06°, 2.426 Å, I 12.8, hkl 0 1 3
2θ = 37.44°, 2.402 Å, I 21.5, hkl 0 0 6
2θ = 38.55°, 2.335 Å, I 36.4, hkl 2 0 0
2θ = 41.97°, 2.153 Å, I 100.0, hkl 1 1 3
2θ = 42.31°, 2.136 Å, I 26.7, hkl 1 0 6
2θ = 54.83°, 1.674 Å, I 14.5, hkl 2 0 6
2θ = 67.30°, 1.391 Å, I 11.5, hkl 0 1 9
2θ = 72.09°, 1.310 Å, I 21.2, hkl 3 1 3
2θ = 80.33°, 1.195 Å, I 14.2, hkl 2 1 9